Starting from a GGA-PBE-relaxed structure, the PXRD pattern of ScH2 was simulated for copper Kα.
Kinematic intensities with the Lorentz-polarization factor, no thermal factor.

Structural model:
a b c (Å): 5.8263 5.8263 5.8263
angles (deg): 33.14 33.14 33.14
Atoms (fractional coordinates):
Sc: 0.0000 0.0000 0.0000
Sc: 0.4968 0.4968 0.4968
H: 0.1283 0.1283 0.1283
H: 0.6178 0.6178 0.6178
H: 0.7378 0.7378 0.7378
H: 0.8745 0.8745 0.8745

Peak list (12 most intense, 10 to 90 degrees two-theta, in order of falling intensity)
Position (°2θ)	I/Imax
33.0	100
38.1	63
32.6	34
65.6	23
54.7	23
55.3	22
65.2	12
65.9	11
69.1	9
81.6	6
89.9	5
68.2	3

Starting from a GGA-PBE-relaxed structure, the PXRD pattern of Y8CuRh2 was simulated for copper Kα.
Kinematic intensities with the Lorentz-polarization factor, no thermal factor.

Structural model:
a b c (Å): 7.5191 7.5191 6.0597
angles (deg): 99.61 99.61 112.06
Atoms (fractional coordinates):
Y: 0.0000 0.0000 0.0000
Y: 0.0199 0.2859 0.5711
Y: 0.1368 0.5768 0.1845
Y: 0.2859 0.0199 0.5711
Y: 0.4379 0.7019 0.7863
Y: 0.5768 0.1368 0.1845
Y: 0.7019 0.4379 0.7863
Y: 0.7247 0.7247 0.3717
Cu: 0.3617 0.3617 0.3650
Rh: 0.0490 0.6775 0.6855
Rh: 0.6775 0.0490 0.6855

Peak list (12 most intense, 10 to 90 degrees two-theta, in order of falling intensity)
Position (°2θ)	I/Imax
30.5	100
33.2	54
32.6	53
34.2	42
39.6	41
35.5	36
39.2	34
36.5	32
15.3	32
40.1	31
30.7	30
26.4	20

Starting from a GGA-PBE-relaxed structure, the PXRD pattern of Cs2Na5Hg3 was simulated for copper Kα.
Kinematic intensities with the Lorentz-polarization factor, no thermal factor.

Structural model:
a b c (Å): 10.5875 10.5875 7.2822
angles (deg): 100.68 100.68 98.52
Atoms (fractional coordinates):
Cs: 0.0822 0.6718 0.9580
Cs: 0.3282 0.9178 0.5420
Cs: 0.6718 0.0822 0.4580
Cs: 0.9178 0.3282 0.0420
Na: 0.0036 0.9964 0.7500
Na: 0.2317 0.5442 0.5123
Na: 0.2721 0.3217 0.8767
Na: 0.3217 0.2721 0.3767
Na: 0.4558 0.7683 0.9877
Na: 0.5442 0.2317 0.0123
Na: 0.6783 0.7279 0.6233
Na: 0.7279 0.6783 0.1233
Na: 0.7683 0.4558 0.4877
Na: 0.9964 0.0036 0.2500
Hg: 0.0217 0.2863 0.5497
Hg: 0.2863 0.0217 0.0497
Hg: 0.4613 0.5387 0.2500
Hg: 0.5387 0.4613 0.7500
Hg: 0.7137 0.9783 0.9503
Hg: 0.9783 0.7137 0.4503

Peak list (12 most intense, 10 to 90 degrees two-theta, in order of falling intensity)
Position (°2θ)	I/Imax
17.9	100
23.1	78
20.9	76
31.5	64
19.1	51
25.1	47
39.9	43
29.2	42
32.2	41
27.9	38
30.6	34
40.9	34

Starting from a GGA-PBE-relaxed structure, the PXRD pattern of LaNiH8Ir2 was simulated for copper Kα.
Kinematic intensities with the Lorentz-polarization factor, no thermal factor.

Structural model:
a b c (Å): 5.9806 5.9806 5.9806
angles (deg): 46.62 46.62 46.62
Atoms (fractional coordinates):
La: 0.0000 0.0000 0.0000
Ni: 0.5000 0.5000 0.5000
H: 0.1441 0.5606 0.5627
H: 0.3147 0.3147 0.3147
H: 0.4373 0.8559 0.4394
H: 0.4394 0.4373 0.8559
H: 0.5606 0.5627 0.1441
H: 0.5627 0.1441 0.5606
H: 0.6853 0.6853 0.6853
H: 0.8559 0.4394 0.4373
Ir: 0.2129 0.2129 0.2129
Ir: 0.7871 0.7871 0.7871

Peak list (12 most intense, 10 to 90 degrees two-theta, in order of falling intensity)
Position (°2θ)	I/Imax
38.0	100
31.3	92
35.7	62
22.4	27
50.0	24
64.5	23
16.7	22
67.2	20
53.1	20
65.8	19
68.7	19
24.4	17

Starting from a GGA-PBE-relaxed structure, the PXRD pattern of TlHg15 was simulated for copper Kα.
Kinematic intensities with the Lorentz-polarization factor, no thermal factor.

Structural model:
a b c (Å): 6.9184 6.9184 11.0059
angles (deg): 90.00 90.00 120.00
Atoms (fractional coordinates):
Tl: 0.0000 0.0000 0.0000
Hg: 0.0000 0.0000 0.5000
Hg: 0.0000 0.5000 0.0000
Hg: 0.0023 0.5012 0.5000
Hg: 0.3333 0.6667 0.2494
Hg: 0.3333 0.6667 0.7506
Hg: 0.3369 0.1684 0.2540
Hg: 0.3369 0.1684 0.7460
Hg: 0.4988 0.5012 0.5000
Hg: 0.4988 0.9977 0.5000
Hg: 0.5000 0.0000 0.0000
Hg: 0.5000 0.5000 0.0000
Hg: 0.8316 0.1684 0.2540
Hg: 0.8316 0.1684 0.7460
Hg: 0.8316 0.6631 0.2540
Hg: 0.8316 0.6631 0.7460

Peak list (12 most intense, 10 to 90 degrees two-theta, in order of falling intensity)
Position (°2θ)	I/Imax
34.1	100
32.5	25
29.8	23
63.5	23
59.0	21
52.9	19
64.5	16
44.7	16
88.1	15
83.3	8
71.7	4
76.1	3

Starting from a GGA-PBE-relaxed structure, the PXRD pattern of La6PrNd12 was simulated for copper Kα.
Kinematic intensities with the Lorentz-polarization factor, no thermal factor.

Structural model:
a b c (Å): 8.8301 8.8301 8.8301
angles (deg): 89.64 89.64 89.64
Atoms (fractional coordinates):
La: 0.1967 0.7641 0.5941
La: 0.2359 0.4059 0.8033
La: 0.4059 0.8033 0.2359
La: 0.5941 0.1967 0.7641
La: 0.7641 0.5941 0.1967
La: 0.8033 0.2359 0.4059
Pr: 0.5000 0.5000 0.5000
Nd: 0.0333 0.9365 0.2797
Nd: 0.0635 0.7203 0.9667
Nd: 0.1383 0.4802 0.3115
Nd: 0.2797 0.0333 0.9365
Nd: 0.3115 0.1383 0.4802
Nd: 0.4802 0.3115 0.1383
Nd: 0.5198 0.6885 0.8617
Nd: 0.6885 0.8617 0.5198
Nd: 0.7203 0.9667 0.0635
Nd: 0.8617 0.5198 0.6885
Nd: 0.9365 0.2797 0.0333
Nd: 0.9667 0.0635 0.7203

Peak list (12 most intense, 10 to 90 degrees two-theta, in order of falling intensity)
Position (°2θ)	I/Imax
30.4	100
32.0	51
30.2	32
32.1	23
43.5	13
33.7	13
53.0	10
22.6	10
56.2	9
56.1	9
45.8	6
52.6	6